# 1
Diffraction record for Sm2Al9Ir3. The powder diffractogram is computed, not measured: it uses DFT lattice parameters and positions (PBE) and CuKα.
No peak broadening, texture or thermal motion is included.

Structural model:
Lattice parameters (Å, degrees): 7.586 7.586 9.542 90.00 90.00 60.67
Fractional coordinates of all 28 atoms:
Sm  0.005  0.670  0.750
Sm  0.330  0.995  0.750
Sm  0.670  0.005  0.250
Sm  0.995  0.330  0.250
Al  0.003  0.665  0.073
Al  0.003  0.665  0.427
Al  0.129  0.871  0.250
Al  0.334  0.666  0.550
Al  0.334  0.666  0.950
Al  0.335  0.997  0.073
Al  0.335  0.997  0.427
Al  0.338  0.455  0.250
Al  0.455  0.338  0.750
Al  0.545  0.662  0.250
Al  0.662  0.545  0.750
Al  0.665  0.003  0.573
Al  0.665  0.003  0.927
Al  0.666  0.334  0.050
Al  0.666  0.334  0.450
Al  0.871  0.129  0.750
Al  0.997  0.335  0.573
Al  0.997  0.335  0.927
Ir  0.000  0.000  0.000
Ir  0.000  0.000  0.500
Ir  0.329  0.329  0.000
Ir  0.329  0.329  0.500
Ir  0.671  0.671  0.000
Ir  0.671  0.671  0.500

Principal peaks in the range 2θ = 15–90°, by angle:
Position (°2θ)	intensity
23.5	334
25.3	187
29.9	514
30.1	1000
36.9	246
37.7	313
40.9	586
41.4	280
51.9	274
56.9	312

# 2
Diffraction record for Tb2Al9Ir3. The powder diffractogram is computed, not measured: it uses DFT lattice parameters and positions (PBE) and CuKα.
No peak broadening, texture or thermal motion is included.

Structural model:
Lattice parameters (Å, degrees): 7.548 7.548 9.480 90.00 90.00 60.49
Fractional coordinates of all 28 atoms:
Tb  0.005  0.669  0.750
Tb  0.331  0.995  0.750
Tb  0.669  0.005  0.250
Tb  0.995  0.331  0.250
Al  0.002  0.665  0.074
Al  0.002  0.665  0.426
Al  0.127  0.873  0.250
Al  0.334  0.666  0.554
Al  0.334  0.666  0.946
Al  0.335  0.998  0.074
Al  0.335  0.998  0.426
Al  0.338  0.454  0.250
Al  0.454  0.338  0.750
Al  0.546  0.662  0.250
Al  0.662  0.546  0.750
Al  0.665  0.002  0.574
Al  0.665  0.002  0.926
Al  0.666  0.334  0.054
Al  0.666  0.334  0.446
Al  0.873  0.127  0.750
Al  0.998  0.335  0.574
Al  0.998  0.335  0.926
Ir  0.000  0.000  0.000
Ir  0.000  0.000  0.500
Ir  0.328  0.328  0.000
Ir  0.328  0.328  0.500
Ir  0.672  0.672  0.000
Ir  0.672  0.672  0.500

Principal peaks in the range 2θ = 15–90°, by angle:
Position (°2θ)	intensity
23.6	315
30.1	515
30.3	1000
37.1	258
38.0	311
41.2	589
41.6	283
52.2	274
57.3	310
63.8	263

# 3
Diffraction record for Tm2Al9Ir3. The powder diffractogram is computed, not measured: it uses DFT lattice parameters and positions (PBE) and CuKα.
No peak broadening, texture or thermal motion is included.

Structural model:
Lattice parameters (Å, degrees): 7.527 7.527 9.424 90.00 90.00 60.31
Fractional coordinates of all 28 atoms:
Tm  0.005  0.670  0.750
Tm  0.330  0.995  0.750
Tm  0.670  0.005  0.250
Tm  0.995  0.330  0.250
Al  0.001  0.665  0.074
Al  0.001  0.665  0.426
Al  0.126  0.874  0.250
Al  0.333  0.667  0.555
Al  0.333  0.667  0.945
Al  0.335  0.999  0.074
Al  0.335  0.999  0.426
Al  0.338  0.453  0.250
Al  0.453  0.338  0.750
Al  0.547  0.662  0.250
Al  0.662  0.547  0.750
Al  0.665  0.001  0.574
Al  0.665  0.001  0.926
Al  0.667  0.333  0.055
Al  0.667  0.333  0.445
Al  0.874  0.126  0.750
Al  0.999  0.335  0.574
Al  0.999  0.335  0.926
Ir  0.000  0.000  0.000
Ir  0.000  0.000  0.500
Ir  0.328  0.328  0.000
Ir  0.328  0.328  0.500
Ir  0.672  0.672  0.000
Ir  0.672  0.672  0.500

Principal peaks in the range 2θ = 15–90°, by angle:
Position (°2θ)	intensity
23.6	192
30.4	1000
37.3	268
38.2	206
41.4	392
41.6	190
45.4	165
52.4	179
57.6	206
64.2	173

Question: What is the formula in the third record?
Answer: Tm2Al9Ir3